1.
# MnCdCo2
Simulated powder diffraction line list, CuKα. Input: a structure optimized by DFT (GGA-PBE).

Cell and atoms:
```
data_MnCdCo2
_chemical_formula_sum 'Mn2 Cd2 Co4'
_space_group_name_H-M_alt 'I m m 2'
_space_group_IT_number 44
_cell_length_a 3.052
_cell_length_b 4.291
_cell_length_c 8.506
_cell_angle_alpha 90.00
_cell_angle_beta 90.00
_cell_angle_gamma 90.00
loop_
_space_group_symop_operation_xyz
'x,y,z'
'-x,-y,z'
'-x,y,z'
'x,-y,z'
'x+1/2,y+1/2,z+1/2'
'-x+1/2,-y+1/2,z+1/2'
'-x+1/2,y+1/2,z+1/2'
'x+1/2,-y+1/2,z+1/2'
loop_
_atom_site_label
_atom_site_fract_x
_atom_site_fract_y
_atom_site_fract_z
Mn1 0.000 0.000 0.000
Cd1 0.000 0.500 0.773
Co1 0.000 0.000 0.536
Co2 0.000 0.500 0.255
```

Principal peaks in the range 5 to 70 degrees two-theta, by angle:
d (Å), Position (°2θ), I/Imax
4.253, 20.89, 53
2.366, 38.04, 58
2.147, 42.09, 1000
2.126, 42.51, 177
1.526, 60.69, 64
1.510, 61.39, 110



2.
# CdCoMo2
Simulated powder diffraction line list, CuKα. Input: a structure optimized by DFT (GGA-PBE).

Cell and atoms:
```
data_CdCoMo2
_chemical_formula_sum 'Cd1 Co1 Mo2'
_space_group_name_H-M_alt 'P 4 m m'
_space_group_IT_number 99
_cell_length_a 2.744
_cell_length_b 2.744
_cell_length_c 8.224
_cell_angle_alpha 90.00
_cell_angle_beta 90.00
_cell_angle_gamma 90.00
loop_
_space_group_symop_operation_xyz
'x,y,z'
'-y,x,z'
'-x,-y,z'
'y,-x,z'
'-x,y,z'
'y,x,z'
'x,-y,z'
'-y,-x,z'
loop_
_atom_site_label
_atom_site_fract_x
_atom_site_fract_y
_atom_site_fract_z
Cd1 0.000 0.000 0.000
Co1 0.500 0.500 0.246
Mo1 0.000 0.000 0.440
Mo2 0.500 0.500 0.713
```

Principal peaks in the range 5 to 70 degrees two-theta, by angle:
d (Å), Position (°2θ), I/Imax
2.742, 32.66, 111
2.283, 39.48, 1000
2.056, 44.04, 132
1.940, 46.82, 360
1.411, 66.23, 241
1.372, 68.37, 103



3.
# Sc4CdCoNi2
Simulated powder diffraction line list, CuKα. Input: a structure optimized by DFT (GGA-PBE).

Cell and atoms:
```
data_Sc4CdCoNi2
_chemical_formula_sum 'Sc12 Cd3 Co3 Ni6'
_space_group_name_H-M_alt 'R -3 m'
_space_group_IT_number 166
_space_group_name_Hall '-R 3 2"'
_cell_length_a 4.5915
_cell_length_b 4.5915
_cell_length_c 22.7813
_cell_angle_alpha 90.00
_cell_angle_beta 90.00
_cell_angle_gamma 120.00
loop_
_atom_site_label
_atom_site_fract_x
_atom_site_fract_y
_atom_site_fract_z
Sc1 0.0000 0.0000 0.1142
Sc2 0.0000 0.0000 0.3679
Cd1 0.0000 0.0000 0.5000
Co1 0.0000 0.0000 0.0000
Ni1 0.0000 0.0000 0.2509
```

Principal peaks in the range 5 to 70 degrees two-theta, by angle:
d (Å), Position (°2θ), I/Imax
3.260, 27.35, 195
2.996, 29.82, 72
2.315, 38.90, 950
2.296, 39.24, 1000
1.630, 56.45, 296
1.463, 63.60, 57